Calculated powder XRD pattern
Compound: BaYbCo4O7
Radiation: Cu Kα, 1.54184 Å
Structure: a structure optimized by DFT (GGA+U)
Neutral-atom scattering factors, no anomalous dispersion.

Cell and atoms:
```
data_BaYbCo4O7
_chemical_formula_sum 'Ba2 Yb2 Co8 O14'
_cell_length_a 6.3992
_cell_length_b 6.3992
_cell_length_c 10.3843
_cell_angle_alpha 90.00
_cell_angle_beta 90.00
_cell_angle_gamma 120.00
_space_group_name_H-M_alt 'P 1'
_space_group_IT_number 1
_space_group_name_Hall 'P 1'
loop_
_atom_site_label
_atom_site_type_symbol
_atom_site_fract_x
_atom_site_fract_y
_atom_site_fract_z
Ba1 Ba 0.3333 0.6667 0.0000
Ba2 Ba 0.6667 0.3333 0.5000
Yb1 Yb 0.3333 0.6667 0.3880
Yb2 Yb 0.6667 0.3333 0.8880
Co1 Co 0.0000 0.0000 0.4641
Co2 Co 0.0000 0.0000 0.9641
Co3 Co 0.1512 0.8135 0.7051
Co4 Co 0.1865 0.3376 0.7051
Co5 Co 0.3376 0.1865 0.2051
Co6 Co 0.6624 0.8488 0.7051
Co7 Co 0.8135 0.1512 0.2051
Co8 Co 0.8488 0.6624 0.2051
O1 O 0.0000 0.0000 0.2652
O2 O 0.0000 0.0000 0.7652
O3 O 0.0127 0.4884 0.7714
O4 O 0.1024 0.7863 0.5170
O5 O 0.2137 0.3162 0.5170
O6 O 0.3162 0.2137 0.0170
O7 O 0.4757 0.9873 0.7714
O8 O 0.4884 0.0127 0.2714
O9 O 0.5116 0.5243 0.7714
O10 O 0.5243 0.5116 0.2714
O11 O 0.6838 0.8976 0.5170
O12 O 0.7863 0.1024 0.0170
O13 O 0.8976 0.6838 0.0170
O14 O 0.9873 0.4757 0.2714
```

Principal peaks in the range 15° ≤ 2θ ≤ 90°, in order of rising 2θ:
Position (°2θ), I/Imax, index
27.88, 53, 1 1 0
30.45, 78, 1 0 3
32.88, 100, 1 1 2
33.47, 58, 2 0 1
50.96, 35, 2 1 3
52.58, 26, 3 0 2
55.28, 36, 2 0 5
57.62, 31, 2 2 0